(1)
Structure and computed powder diffraction line list of ZnMo (a structure optimized by DFT (GGA-PBE); Cu Kα (weighted mean of Kα1 and Kα2)).
Peak positions follow from Bragg's law for the DFT cell and can differ from measured ones.

Peak list (12 most intense, 15 to 90 degrees two-theta, in order of rising 2θ)
21.88 deg, I 3
32.64 deg, I 1
40.37 deg, I 2
40.62 deg, I 100
42.30 deg, I 45
56.15 deg, I 9
59.90 deg, I 1
61.37 deg, I 14
72.74 deg, I 16
76.16 deg, I 15
76.27 deg, I 15
87.92 deg, I 10

Atomic structure:
a b c (Å): 4.277 13.105 4.269
angles (deg): 90.00 90.00 90.00
Sites, in units of the cell vectors:
Zn  0.250  0.000  0.250
Zn  0.250  0.116  0.750
Zn  0.250  0.384  0.750
Zn  0.250  0.500  0.250
Zn  0.750  0.000  0.750
Zn  0.750  0.500  0.750
Zn  0.750  0.616  0.250
Zn  0.750  0.884  0.250
Mo  0.250  0.250  0.249
Mo  0.250  0.630  0.750
Mo  0.250  0.750  0.251
Mo  0.250  0.870  0.750
Mo  0.750  0.130  0.250
Mo  0.750  0.250  0.749
Mo  0.750  0.370  0.250
Mo  0.750  0.750  0.751

(2)
Structure and computed powder diffraction line list of SrZn2InAu (a structure optimized by DFT (GGA-PBE); Cu Kα (weighted mean of Kα1 and Kα2)).
Peak positions follow from Bragg's law for the DFT cell and can differ from measured ones.

Peak list (12 most intense, 15 to 90 degrees two-theta, in order of rising 2θ)
21.32 deg, I 64
28.32 deg, I 48
30.33 deg, I 100
32.21 deg, I 73
40.48 deg, I 82
41.98 deg, I 68
43.43 deg, I 62
51.41 deg, I 47
58.59 deg, I 30
60.87 deg, I 44
74.66 deg, I 24
77.70 deg, I 26

Atomic structure:
a b c (Å): 4.456 4.456 11.786
angles (deg): 90.00 90.00 90.00
Sites, in units of the cell vectors:
Sr  0.000  0.000  0.000
Sr  0.500  0.500  0.500
Zn  0.000  0.500  0.235
Zn  0.000  0.500  0.735
Zn  0.500  0.000  0.235
Zn  0.500  0.000  0.735
In  0.000  0.000  0.374
In  0.500  0.500  0.874
Au  0.000  0.000  0.611
Au  0.500  0.500  0.111

(3)
Structure and computed powder diffraction line list of Ba6NaAs6Au (a structure optimized by DFT (GGA-PBE); Cu Kα (weighted mean of Kα1 and Kα2)).
Peak positions follow from Bragg's law for the DFT cell and can differ from measured ones.

Peak list (12 most intense, 15 to 90 degrees two-theta, in order of rising 2θ)
23.20 deg, I 19
24.24 deg, I 47
28.07 deg, I 100
30.64 deg, I 42
36.72 deg, I 24
40.11 deg, I 54
47.42 deg, I 38
49.67 deg, I 13
55.50 deg, I 13
63.80 deg, I 23
65.67 deg, I 17
78.10 deg, I 12

Atomic structure:
a b c (Å): 8.992 8.992 8.992
angles (deg): 60.00 60.00 60.00
Sites, in units of the cell vectors:
Ba  0.232  0.232  0.768
Ba  0.232  0.768  0.232
Ba  0.232  0.768  0.768
Ba  0.768  0.232  0.232
Ba  0.768  0.232  0.768
Ba  0.768  0.768  0.232
Na  0.500  0.500  0.500
As  0.067  0.067  0.433
As  0.067  0.433  0.067
As  0.067  0.433  0.433
As  0.433  0.067  0.067
As  0.433  0.067  0.433
As  0.433  0.433  0.067
Au  0.750  0.750  0.750

(4)
Structure and computed powder diffraction line list of Hf3CuB2 (a structure optimized by DFT (GGA-PBE); Cu Kα (weighted mean of Kα1 and Kα2)).
Peak positions follow from Bragg's law for the DFT cell and can differ from measured ones.

Peak list (12 most intense, 15 to 90 degrees two-theta, in order of rising 2θ)
28.35 deg, I 19
30.76 deg, I 50
31.86 deg, I 17
35.97 deg, I 100
38.11 deg, I 17
38.80 deg, I 47
53.64 deg, I 18
53.99 deg, I 36
58.02 deg, I 12
62.09 deg, I 14
66.59 deg, I 16
67.99 deg, I 18

Atomic structure:
a b c (Å): 3.397 3.397 18.891
angles (deg): 90.00 90.00 120.00
Sites, in units of the cell vectors:
Hf  0.000  0.000  0.000
Hf  0.000  0.000  0.500
Hf  0.333  0.667  0.144
Hf  0.333  0.667  0.356
Hf  0.667  0.333  0.644
Hf  0.667  0.333  0.856
Cu  0.000  0.000  0.250
Cu  0.000  0.000  0.750
B  0.333  0.667  0.576
B  0.333  0.667  0.924
B  0.667  0.333  0.076
B  0.667  0.333  0.424

(5)
Structure and computed powder diffraction line list of DyY2Lu4Te2Pd2 (a structure optimized by DFT (GGA-PBE); Cu Kα (weighted mean of Kα1 and Kα2)).
Peak positions follow from Bragg's law for the DFT cell and can differ from measured ones.

Peak list (12 most intense, 15 to 90 degrees two-theta, in order of rising 2θ)
24.54 deg, I 15
30.10 deg, I 44
30.33 deg, I 24
33.19 deg, I 61
33.84 deg, I 100
34.35 deg, I 63
36.47 deg, I 21
38.33 deg, I 22
39.71 deg, I 19
46.25 deg, I 30
58.11 deg, I 24
65.47 deg, I 15

Atomic structure:
a b c (Å): 9.299 9.299 9.299
angles (deg): 155.63 67.07 118.60
Sites, in units of the cell vectors:
Dy  0.000  0.000  0.000
Y  0.616  0.261  0.355
Y  0.905  0.261  0.645
Lu  0.283  0.414  0.869
Lu  0.306  0.624  0.682
Lu  0.544  0.414  0.131
Lu  0.941  0.624  0.318
Te  0.266  0.766  0.500
Te  0.658  0.658  0.000
Pd  0.173  0.933  0.240
Pd  0.692  0.933  0.760

(6)
Structure and computed powder diffraction line list of ErGe3Pt4 (a structure optimized by DFT (GGA-PBE); Cu Kα (weighted mean of Kα1 and Kα2)).
Peak positions follow from Bragg's law for the DFT cell and can differ from measured ones.

Peak list (12 most intense, 15 to 90 degrees two-theta, in order of rising 2θ)
27.52 deg, I 58
28.09 deg, I 33
31.21 deg, I 20
34.18 deg, I 25
36.50 deg, I 52
39.35 deg, I 100
40.11 deg, I 52
40.77 deg, I 54
41.26 deg, I 29
41.51 deg, I 77
46.07 deg, I 25
46.64 deg, I 63

Atomic structure:
a b c (Å): 5.851 3.894 6.357
angles (deg): 90.00 91.90 90.00
Sites, in units of the cell vectors:
Er  0.000  0.000  0.000
Ge  0.238  0.000  0.519
Ge  0.434  0.500  0.864
Ge  0.759  0.500  0.338
Pt  0.011  0.500  0.669
Pt  0.225  0.500  0.258
Pt  0.549  0.000  0.153
Pt  0.644  0.000  0.664

(7)
Structure and computed powder diffraction line list of PrLuTlTe3 (a structure optimized by DFT (GGA-PBE); Cu Kα (weighted mean of Kα1 and Kα2)).
Peak positions follow from Bragg's law for the DFT cell and can differ from measured ones.

Peak list (12 most intense, 15 to 90 degrees two-theta, in order of rising 2θ)
26.72 deg, I 42
27.73 deg, I 100
29.39 deg, I 74
30.56 deg, I 56
34.83 deg, I 45
38.35 deg, I 52
40.14 deg, I 26
40.85 deg, I 32
46.20 deg, I 30
51.11 deg, I 33
57.27 deg, I 35
76.01 deg, I 17

Atomic structure:
a b c (Å): 7.946 7.946 12.156
angles (deg): 90.00 90.00 147.71
Sites, in units of the cell vectors:
Pr  0.070  0.930  0.750
Pr  0.930  0.070  0.250
Lu  0.500  0.500  0.000
Lu  0.500  0.500  0.500
Tl  0.244  0.756  0.250
Tl  0.756  0.244  0.750
Te  0.140  0.860  0.516
Te  0.140  0.860  0.984
Te  0.429  0.571  0.750
Te  0.571  0.429  0.250
Te  0.860  0.140  0.016
Te  0.860  0.140  0.484